This entry pairs a crystal structure of TlSn4Pd15 with its calculated XRD peak list. Radiation: CuKα. Structure: a GGA-PBE-relaxed structure.
Intensities are scaled so that the largest is 100.

Largest 9 diffraction maxima, in order of falling intensity, 10° ≤ 2θ ≤ 90°:
2.338 Å, I 100, (1 1 5)
2.025 Å, I 49, (2 0 0)
1.221 Å, I 37, (3 1 5)
1.432 Å, I 31, (2 2 0)
1.169 Å, I 11, (2 2 10)
4.049 Å, I 1, (0 0 5)
2.863 Å, I 1, (1 0 5)
1.811 Å, I 1, (1 0 10)
1.653 Å, I 1, (1 1 10)

Crystal structure
```
20
Lattice="4.050 0.000 0.000 0.000 4.050 0.000 0.000 0.000 20.237" Properties=species:S:1:pos:R:3 pbc="T T T"
Tl 0.000 0.000 0.000
Sn 0.000 0.000 4.051
Sn 0.000 0.000 8.099
Sn 0.000 0.000 12.138
Sn 0.000 0.000 16.186
Pd 0.000 2.025 2.095
Pd 0.000 2.025 6.096
Pd 0.000 2.025 10.119
Pd 0.000 2.025 14.141
Pd 0.000 2.025 18.142
Pd 2.025 0.000 2.095
Pd 2.025 0.000 6.096
Pd 2.025 0.000 10.119
Pd 2.025 0.000 14.141
Pd 2.025 0.000 18.142
Pd 2.025 2.025 0.000
Pd 2.025 2.025 4.103
Pd 2.025 2.025 8.111
Pd 2.025 2.025 12.126
Pd 2.025 2.025 16.134
```